# 1
Structure and computed powder XRD pattern of Ba3InHg10 (a GGA-PBE-relaxed structure; λ = 1.5418 Å (Cu Kα)).
Neutral-atom scattering factors, no anomalous dispersion.

The 8 most intense peaks (10° ≤ 2θ ≤ 90°), most intense first:
2θ (°), I_rel
29.73, 100
33.41, 62
33.36, 58
39.09, 39
34.59, 35
31.28, 28
48.86, 27
39.75, 23

Atomic structure:
a b c (Å): 9.665 9.665 9.665
angles (deg): 147.78 116.72 72.81
Atoms (fractional coordinates):
Ba (0.000, 0.000, 0.000)
Ba (0.299, 0.299, 0.000)
Ba (0.701, 0.701, 0.000)
In (0.500, 0.000, 0.500)
Hg (0.018, 0.662, 0.355)
Hg (0.143, 0.859, 0.284)
Hg (0.307, 0.662, 0.645)
Hg (0.321, 0.500, 0.821)
Hg (0.425, 0.141, 0.284)
Hg (0.575, 0.859, 0.716)
Hg (0.679, 0.500, 0.179)
Hg (0.693, 0.338, 0.355)
Hg (0.857, 0.141, 0.716)
Hg (0.982, 0.338, 0.645)

=====

# 2
Structure and computed powder XRD pattern of LuPO4 (a GGA-PBE-relaxed structure; λ = 1.5418 Å (Cu Kα)).
Neutral-atom scattering factors, no anomalous dispersion.

The 8 most intense peaks (10° ≤ 2θ ≤ 90°), most intense first:
2θ (°), I_rel
31.02, 100
20.24, 54
50.50, 28
63.85, 25
43.11, 24
37.64, 20
49.29, 19
32.41, 18

Atomic structure:
a b c (Å): 6.476 6.476 6.476
angles (deg): 136.69 136.69 62.92
Atoms (fractional coordinates):
Lu (0.375, 0.125, 0.250)
Lu (0.625, 0.875, 0.750)
P (0.125, 0.375, 0.750)
P (0.875, 0.625, 0.250)
O (0.067, 0.205, 0.374)
O (0.194, 0.567, 0.362)
O (0.295, 0.169, 0.862)
O (0.331, 0.694, 0.126)
O (0.669, 0.306, 0.874)
O (0.705, 0.831, 0.138)
O (0.806, 0.433, 0.638)
O (0.933, 0.795, 0.626)

=====

# 3
Structure and computed powder XRD pattern of SiC (a GGA-PBE-relaxed structure; λ = 1.5418 Å (Cu Kα)).
Neutral-atom scattering factors, no anomalous dispersion.

The 8 most intense peaks (10° ≤ 2θ ≤ 90°), most intense first:
2θ (°), I_rel
35.50, 100
59.69, 63
71.42, 48
35.81, 26
37.74, 20
34.01, 20
38.19, 18
34.20, 14

Atomic structure:
a b c (Å): 32.904 32.904 32.904
angles (deg): 5.40 5.40 5.40
Atoms (fractional coordinates):
Si (0.000, 0.000, 0.000)
Si (0.051, 0.051, 0.051)
Si (0.128, 0.128, 0.128)
Si (0.205, 0.205, 0.205)
Si (0.282, 0.282, 0.282)
Si (0.359, 0.359, 0.359)
Si (0.436, 0.436, 0.436)
Si (0.487, 0.487, 0.487)
Si (0.590, 0.590, 0.590)
Si (0.641, 0.641, 0.641)
Si (0.744, 0.744, 0.744)
Si (0.846, 0.846, 0.846)
Si (0.897, 0.897, 0.897)
C (0.032, 0.032, 0.032)
C (0.109, 0.109, 0.109)
C (0.186, 0.186, 0.186)
C (0.263, 0.263, 0.263)
C (0.340, 0.340, 0.340)
C (0.417, 0.417, 0.417)
C (0.468, 0.468, 0.468)
C (0.570, 0.570, 0.570)
C (0.622, 0.622, 0.622)
C (0.724, 0.724, 0.724)
C (0.827, 0.827, 0.827)
C (0.878, 0.878, 0.878)
C (0.981, 0.981, 0.981)

=====

# 4
Structure and computed powder XRD pattern of RbTi2P3O12 (a GGA-PBE-relaxed structure; λ = 1.5418 Å (Cu Kα)).
Neutral-atom scattering factors, no anomalous dispersion.

The 8 most intense peaks (10° ≤ 2θ ≤ 90°), most intense first:
2θ (°), I_rel
30.94, 100
23.89, 72
21.05, 68
48.90, 30
36.90, 22
33.30, 18
57.81, 17
43.60, 17

Atomic structure:
a b c (Å): 9.311 9.311 9.311
angles (deg): 53.90 53.90 53.90
Atoms (fractional coordinates):
Rb (0.000, 0.000, 0.000)
Rb (0.500, 0.500, 0.500)
Ti (0.151, 0.151, 0.151)
Ti (0.349, 0.349, 0.349)
Ti (0.651, 0.651, 0.651)
Ti (0.849, 0.849, 0.849)
P (0.030, 0.750, 0.470)
P (0.250, 0.530, 0.970)
P (0.470, 0.030, 0.750)
P (0.530, 0.970, 0.250)
P (0.750, 0.470, 0.030)
P (0.970, 0.250, 0.530)
O (0.012, 0.739, 0.652)
O (0.068, 0.698, 0.930)
O (0.070, 0.932, 0.302)
O (0.152, 0.239, 0.512)
O (0.198, 0.568, 0.430)
O (0.239, 0.512, 0.152)
O (0.261, 0.348, 0.988)
O (0.302, 0.070, 0.932)
O (0.348, 0.988, 0.261)
O (0.430, 0.198, 0.568)
O (0.432, 0.570, 0.802)
O (0.488, 0.848, 0.761)
O (0.512, 0.152, 0.239)
O (0.568, 0.430, 0.198)
O (0.570, 0.802, 0.432)
O (0.652, 0.012, 0.739)
O (0.698, 0.930, 0.068)
O (0.739, 0.652, 0.012)
O (0.761, 0.488, 0.848)
O (0.802, 0.432, 0.570)
O (0.848, 0.761, 0.488)
O (0.930, 0.068, 0.698)
O (0.932, 0.302, 0.070)
O (0.988, 0.261, 0.348)

=====

Copy entry 3 word for word.
Structure and computed powder XRD pattern of SiC (a GGA-PBE-relaxed structure; λ = 1.5418 Å (Cu Kα)).
Neutral-atom scattering factors, no anomalous dispersion.

The 8 most intense peaks (10° ≤ 2θ ≤ 90°), most intense first:
2θ (°), I_rel
35.50, 100
59.69, 63
71.42, 48
35.81, 26
37.74, 20
34.01, 20
38.19, 18
34.20, 14

Atomic structure:
a b c (Å): 32.904 32.904 32.904
angles (deg): 5.40 5.40 5.40
Atoms (fractional coordinates):
Si (0.000, 0.000, 0.000)
Si (0.051, 0.051, 0.051)
Si (0.128, 0.128, 0.128)
Si (0.205, 0.205, 0.205)
Si (0.282, 0.282, 0.282)
Si (0.359, 0.359, 0.359)
Si (0.436, 0.436, 0.436)
Si (0.487, 0.487, 0.487)
Si (0.590, 0.590, 0.590)
Si (0.641, 0.641, 0.641)
Si (0.744, 0.744, 0.744)
Si (0.846, 0.846, 0.846)
Si (0.897, 0.897, 0.897)
C (0.032, 0.032, 0.032)
C (0.109, 0.109, 0.109)
C (0.186, 0.186, 0.186)
C (0.263, 0.263, 0.263)
C (0.340, 0.340, 0.340)
C (0.417, 0.417, 0.417)
C (0.468, 0.468, 0.468)
C (0.570, 0.570, 0.570)
C (0.622, 0.622, 0.622)
C (0.724, 0.724, 0.724)
C (0.827, 0.827, 0.827)
C (0.878, 0.878, 0.878)
C (0.981, 0.981, 0.981)

=====

Copy entry 4 word for word.
Structure and computed powder XRD pattern of RbTi2P3O12 (a GGA-PBE-relaxed structure; λ = 1.5418 Å (Cu Kα)).
Neutral-atom scattering factors, no anomalous dispersion.

The 8 most intense peaks (10° ≤ 2θ ≤ 90°), most intense first:
2θ (°), I_rel
30.94, 100
23.89, 72
21.05, 68
48.90, 30
36.90, 22
33.30, 18
57.81, 17
43.60, 17

Atomic structure:
a b c (Å): 9.311 9.311 9.311
angles (deg): 53.90 53.90 53.90
Atoms (fractional coordinates):
Rb (0.000, 0.000, 0.000)
Rb (0.500, 0.500, 0.500)
Ti (0.151, 0.151, 0.151)
Ti (0.349, 0.349, 0.349)
Ti (0.651, 0.651, 0.651)
Ti (0.849, 0.849, 0.849)
P (0.030, 0.750, 0.470)
P (0.250, 0.530, 0.970)
P (0.470, 0.030, 0.750)
P (0.530, 0.970, 0.250)
P (0.750, 0.470, 0.030)
P (0.970, 0.250, 0.530)
O (0.012, 0.739, 0.652)
O (0.068, 0.698, 0.930)
O (0.070, 0.932, 0.302)
O (0.152, 0.239, 0.512)
O (0.198, 0.568, 0.430)
O (0.239, 0.512, 0.152)
O (0.261, 0.348, 0.988)
O (0.302, 0.070, 0.932)
O (0.348, 0.988, 0.261)
O (0.430, 0.198, 0.568)
O (0.432, 0.570, 0.802)
O (0.488, 0.848, 0.761)
O (0.512, 0.152, 0.239)
O (0.568, 0.430, 0.198)
O (0.570, 0.802, 0.432)
O (0.652, 0.012, 0.739)
O (0.698, 0.930, 0.068)
O (0.739, 0.652, 0.012)
O (0.761, 0.488, 0.848)
O (0.802, 0.432, 0.570)
O (0.848, 0.761, 0.488)
O (0.930, 0.068, 0.698)
O (0.932, 0.302, 0.070)
O (0.988, 0.261, 0.348)